Starting from a structure optimized by DFT (PBE), the XRD peak list of Ta2Co11 was calculated for Cu Kα.
Neutral-atom scattering factors, no anomalous dispersion.

Structure:
abc: 4.6420 4.6420 24.6934
angles: 90.00 90.00 120.00
Space group R-3m (No. 166, hexagonal axes)
Asymmetric unit:
Ta 0.0000 0.0000 0.1444 [6 per cell]
Co 0.0000 0.0000 0.0445 [6 per cell]
Co 0.0000 0.0000 0.3352 [6 per cell]
Co 0.0000 0.0000 0.5000 [3 per cell]
Co 0.0030 0.5015 0.9144 [18 per cell]

Peak list (8 most intense, 10 to 90 degrees two-theta, by intensity)
d = 2.022 Å, rel. 100; d = 2.321 Å, rel. 79; d = 8.231 Å, rel. 68; d = 1.960 Å, rel. 67; d = 2.104 Å, rel. 59; d = 2.003 Å, rel. 48; d = 1.911 Å, rel. 33; d = 1.862 Å, rel. 32